Calculated powder X-ray diffraction pattern
Compound: SrZn2SiPt
Radiation: λ = 1.5418 Å (Cu Kα)
Structure: a crystal structure in Alexandria, relaxed with GGA-PBE
Neutral-atom scattering factors, no anomalous dispersion.

```
data_SrZn2SiPt
_chemical_formula_sum 'Sr2 Zn4 Si2 Pt2'
_symmetry_space_group_name_H-M 'I m m 2'
_symmetry_Int_Tables_number 44
_cell_length_a 4.333
_cell_length_b 4.360
_cell_length_c 10.378
_cell_angle_alpha 90.00
_cell_angle_beta 90.00
_cell_angle_gamma 90.00
loop_
_symmetry_equiv_pos_as_xyz
'x,y,z'
'-x,-y,z'
'-x,y,z'
'x,-y,z'
'x+1/2,y+1/2,z+1/2'
'-x+1/2,-y+1/2,z+1/2'
'-x+1/2,y+1/2,z+1/2'
'x+1/2,-y+1/2,z+1/2'
loop_
_atom_site_label
_atom_site_type_symbol
_atom_site_fract_x
_atom_site_fract_y
_atom_site_fract_z
_atom_site_occupancy
Sr1 Sr 0.000 0.000 0.000 1
Zn1 Zn 0.000 0.000 0.616 1
Zn2 Zn 0.000 0.500 0.250 1
Si1 Si 0.000 0.000 0.369 1
Pt1 Pt 0.000 0.500 0.762 1
```

The 10 most intense peaks (2θ = 10–80°), in order of falling intensity:
| Position (°2θ) | I_rel |
| --- | --- |
| 33.90 | 100 |
| 33.07 | 32 |
| 17.09 | 28 |
| 22.23 | 24 |
| 45.77 | 23 |
| 41.42 | 22 |
| 41.69 | 22 |
| 60.22 | 15 |
| 61.52 | 14 |
| 70.74 | 12 |